1.
Diffraction record for DyTm2Pd. The X-ray diffraction stick pattern is simulated, not measured: it uses a structure optimized by DFT (GGA-PBE) and Cu Kα (λ = 1.5418 Å).
Lines closer than 0.1° are merged.

Peak list (8 most intense, 10 to 90 degrees two-theta, low angle first)
d = 2.915 Å, 30.67°, intensity 92, hkl 1 0 2
d = 2.851 Å, 31.37°, intensity 97, hkl 0 3 1
d = 2.813 Å, 31.81°, intensity 88, hkl 2 2 0
d = 2.788 Å, 32.10°, intensity 100, hkl 1 1 2
d = 2.639 Å, 33.97°, intensity 52, hkl 1 3 1
d = 2.576 Å, 34.82°, intensity 69, hkl 2 2 1
d = 2.488 Å, 36.10°, intensity 47, hkl 1 2 2
d = 1.620 Å, 56.85°, intensity 62, hkl 3 3 2

Atomic structure:
```
data_DyTm2Pd
_cell_length_a 6.9632
_cell_length_b 9.5470
_cell_length_c 6.4205
_cell_angle_alpha 90.00
_cell_angle_beta 90.00
_cell_angle_gamma 90.00
_space_group_name_H-M_alt 'P n m a'
_space_group_IT_number 62
loop_
_space_group_symop_operation_xyz
'x,y,z'
'-x,-y,-z'
'-x+1/2,-y,z+1/2'
'x+1/2,y,-z+1/2'
'x+1/2,-y+1/2,-z+1/2'
'-x+1/2,y+1/2,z+1/2'
'-x,y+1/2,-z'
'x,-y+1/2,z'
loop_
_atom_site_label
_atom_site_type_symbol
_atom_site_fract_x
_atom_site_fract_y
_atom_site_fract_z
Dy1 Dy 0.0192 0.2500 0.1282
Tm1 Tm 0.1805 0.0589 0.6770
Pd1 Pd 0.1094 0.7500 0.4413
```

2.
Diffraction record for AcPmNdHo2. The X-ray diffraction stick pattern is simulated, not measured: it uses a structure optimized by DFT (GGA-PBE) and Cu Kα (λ = 1.5418 Å).
Lines closer than 0.1° are merged.

Peak list (8 most intense, 10 to 90 degrees two-theta, low angle first)
d = 3.621 Å, 24.59°, intensity 46, hkl 1 3 1
d = 3.087 Å, 28.93°, intensity 100, hkl 2 2 0
d = 3.035 Å, 29.43°, intensity 93, hkl 0 2 2
d = 2.914 Å, 30.69°, intensity 42, hkl 0 6 0
d = 2.788 Å, 32.11°, intensity 88, hkl 1 5 1
d = 2.633 Å, 34.05°, intensity 42, hkl 2 4 0
d = 2.310 Å, 38.98°, intensity 87, hkl 2 0 2
d = 1.810 Å, 50.41°, intensity 48, hkl 2 6 2

Atomic structure:
```
data_AcPmNdHo2
_cell_length_a 6.5985
_cell_length_b 17.4811
_cell_length_c 6.4730
_cell_angle_alpha 90.00
_cell_angle_beta 90.00
_cell_angle_gamma 90.00
_space_group_name_H-M_alt 'C m c m'
_space_group_IT_number 63
_space_group_name_Hall '-C 2c 2'
loop_
_atom_site_label
_atom_site_type_symbol
_atom_site_fract_x
_atom_site_fract_y
_atom_site_fract_z
Ac1 Ac 0.0000 0.1567 0.2500
Pm1 Pm 0.0000 0.2810 0.7500
Nd1 Nd 0.0000 0.3478 0.2500
Ho1 Ho 0.2429 0.5000 0.0000
```

3.
Diffraction record for TlInH8Rh2. The X-ray diffraction stick pattern is simulated, not measured: it uses a structure optimized by DFT (GGA-PBE) and Cu Kα (λ = 1.5418 Å).
Lines closer than 0.1° are merged.

Peak list (8 most intense, 10 to 90 degrees two-theta, low angle first)
d = 4.165 Å, 21.33°, intensity 37, hkl 1 0 1
d = 3.916 Å, 22.71°, intensity 28, hkl 0 1 2
d = 3.317 Å, 26.88°, intensity 51, hkl 0 0 6
d = 3.236 Å, 27.57°, intensity 84, hkl 1 0 4
d = 2.908 Å, 30.74°, intensity 45, hkl 0 1 5
d = 2.459 Å, 36.54°, intensity 100, hkl 1 1 0
d = 1.975 Å, 45.94°, intensity 73, hkl 1 1 6
d = 1.803 Å, 50.62°, intensity 35, hkl 1 0 10

Atomic structure:
```
data_TlInH8Rh2
_cell_length_a 4.9181
_cell_length_b 4.9181
_cell_length_c 19.9038
_cell_angle_alpha 90.00
_cell_angle_beta 90.00
_cell_angle_gamma 120.00
_space_group_name_H-M_alt 'R -3'
_space_group_IT_number 148
_space_group_name_Hall '-R 3'
loop_
_atom_site_label
_atom_site_type_symbol
_atom_site_fract_x
_atom_site_fract_y
_atom_site_fract_z
Tl1 Tl 0.0000 0.0000 0.0000
In1 In 0.0000 0.0000 0.5000
H1 H 0.0000 0.0000 0.2750
H2 H 0.0590 0.5307 0.5481
Rh1 Rh 0.0000 0.0000 0.1913
```

What is the formula in the second record? AcPmNdHo2

Number 2 is which compound? AcPmNdHo2

What did the second record say?
Diffraction record for AcPmNdHo2. The X-ray diffraction stick pattern is simulated, not measured: it uses a structure optimized by DFT (GGA-PBE) and Cu Kα (λ = 1.5418 Å).
Lines closer than 0.1° are merged.

Peak list (8 most intense, 10 to 90 degrees two-theta, low angle first)
d = 3.621 Å, 24.59°, intensity 46, hkl 1 3 1
d = 3.087 Å, 28.93°, intensity 100, hkl 2 2 0
d = 3.035 Å, 29.43°, intensity 93, hkl 0 2 2
d = 2.914 Å, 30.69°, intensity 42, hkl 0 6 0
d = 2.788 Å, 32.11°, intensity 88, hkl 1 5 1
d = 2.633 Å, 34.05°, intensity 42, hkl 2 4 0
d = 2.310 Å, 38.98°, intensity 87, hkl 2 0 2
d = 1.810 Å, 50.41°, intensity 48, hkl 2 6 2

Atomic structure:
```
data_AcPmNdHo2
_cell_length_a 6.5985
_cell_length_b 17.4811
_cell_length_c 6.4730
_cell_angle_alpha 90.00
_cell_angle_beta 90.00
_cell_angle_gamma 90.00
_space_group_name_H-M_alt 'C m c m'
_space_group_IT_number 63
_space_group_name_Hall '-C 2c 2'
loop_
_atom_site_label
_atom_site_type_symbol
_atom_site_fract_x
_atom_site_fract_y
_atom_site_fract_z
Ac1 Ac 0.0000 0.1567 0.2500
Pm1 Pm 0.0000 0.2810 0.7500
Nd1 Nd 0.0000 0.3478 0.2500
Ho1 Ho 0.2429 0.5000 0.0000
```